1.
Li2CrGeN4: calculated X-ray powder pattern (λ = 1.5418 Å (Cu Kα)), based on DFT lattice parameters and positions (GGA-PBE).
Lines closer than 0.1° are merged.

Atomic structure:
Cell: 6.1351 5.7563 5.0977 Å, 90.00 90.00 90.00°
Fractional positions:
Li: 0.2485 0.1638 0.0000
Li: 0.2515 0.8362 0.5000
Li: 0.7485 0.8362 0.5000
Li: 0.7515 0.1638 0.0000
Cr: 0.0000 0.3380 0.5094
Cr: 0.5000 0.6620 0.0094
Ge: 0.0000 0.6596 0.0069
Ge: 0.5000 0.3404 0.5069
N: 0.0000 0.3672 0.8448
N: 0.0000 0.6128 0.3739
N: 0.2425 0.1893 0.4138
N: 0.2575 0.8107 0.9138
N: 0.5000 0.3872 0.8739
N: 0.5000 0.6328 0.3448
N: 0.7425 0.8107 0.9138
N: 0.7575 0.1893 0.4138

Peak list (10 most intense, 2θ from 10° to 90°, in order of rising 2θ)
- 2θ 15.4, rel. 59
- 2θ 23.3, rel. 100
- 2θ 29.1, rel. 32
- 2θ 33.1, rel. 35
- 2θ 35.2, rel. 31
- 2θ 35.8, rel. 26
- 2θ 37.6, rel. 38
- 2θ 46.8, rel. 27
- 2θ 56.6, rel. 19
- 2θ 64.8, rel. 18

2.
CuH8C2NCl3: calculated X-ray powder pattern (λ = 1.5418 Å (Cu Kα)), based on DFT lattice parameters and positions (GGA-PBE).
Lines closer than 0.1° are merged.

Atomic structure:
Cell: 8.9174 9.8597 10.7823 Å, 72.15 68.40 63.90°
Fractional positions:
Cu: 0.0766 0.1486 0.4343
Cu: 0.1458 0.3558 0.0822
Cu: 0.8542 0.6442 0.9178
Cu: 0.9234 0.8514 0.5657
H: 0.0879 0.6819 0.2497
H: 0.1081 0.0750 0.8040
H: 0.1874 0.9843 0.9515
H: 0.2122 0.5233 0.4318
H: 0.2119 0.7620 0.2846
H: 0.2168 0.8714 0.8350
H: 0.2854 0.2403 0.7491
H: 0.2893 0.4328 0.3000
H: 0.3017 0.6654 0.1416
H: 0.3765 0.1318 0.8896
H: 0.3984 0.0049 0.6646
H: 0.4450 0.5173 0.7745
H: 0.4740 0.5730 0.3709
H: 0.4789 0.9018 0.7974
H: 0.4801 0.6281 0.6074
H: 0.4830 0.8564 0.2795
H: 0.5170 0.1436 0.7205
H: 0.5199 0.3719 0.3926
H: 0.5211 0.0982 0.2026
H: 0.5260 0.4270 0.6291
H: 0.5550 0.4827 0.2255
H: 0.6016 0.9951 0.3354
H: 0.6235 0.8682 0.1104
H: 0.6983 0.3346 0.8584
H: 0.7107 0.5672 0.7000
H: 0.7146 0.7597 0.2509
H: 0.7832 0.1286 0.1650
H: 0.7881 0.2380 0.7154
H: 0.7878 0.4767 0.5682
H: 0.8126 0.0157 0.0485
H: 0.8919 0.9250 0.1960
H: 0.9121 0.3181 0.7503
C: 0.2108 0.9809 0.8452
C: 0.2180 0.6688 0.2456
C: 0.3900 0.1395 0.7827
C: 0.4732 0.4844 0.3302
C: 0.5268 0.5156 0.6698
C: 0.6100 0.8605 0.2173
C: 0.7820 0.3312 0.7544
C: 0.7892 0.0191 0.1548
N: 0.2918 0.5205 0.3323
N: 0.3792 0.9996 0.7669
N: 0.6208 0.0004 0.2331
N: 0.7082 0.4795 0.6677
Cl: 0.0528 0.5911 0.6303
Cl: 0.0865 0.6120 0.9847
Cl: 0.1838 0.8849 0.5140
Cl: 0.1889 0.1058 0.1735
Cl: 0.2944 0.1728 0.4777
Cl: 0.4081 0.3305 0.0893
Cl: 0.5919 0.6695 0.9107
Cl: 0.7056 0.8272 0.5223
Cl: 0.8111 0.8942 0.8265
Cl: 0.8162 0.1151 0.4860
Cl: 0.9135 0.3880 0.0153
Cl: 0.9472 0.4089 0.3697

Peak list (10 most intense, 2θ from 10° to 90°, in order of rising 2θ)
- 2θ 11.5, rel. 47
- 2θ 11.9, rel. 28
- 2θ 12.2, rel. 29
- 2θ 12.3, rel. 100
- 2θ 12.5, rel. 29
- 2θ 18.0, rel. 25
- 2θ 27.3, rel. 68
- 2θ 33.6, rel. 27
- 2θ 40.5, rel. 16
- 2θ 42.3, rel. 14

3.
Li2La2Au3: calculated X-ray powder pattern (λ = 1.5418 Å (Cu Kα)), based on DFT lattice parameters and positions (GGA-PBE).
Lines closer than 0.1° are merged.

Atomic structure:
Cell: 10.0757 10.0757 7.9208 Å, 90.00 90.00 156.19°
Fractional positions:
Li: 0.1934 0.8066 0.5587
Li: 0.1934 0.8066 0.9413
Li: 0.8066 0.1934 0.0587
Li: 0.8066 0.1934 0.4413
La: 0.3445 0.6555 0.7500
La: 0.4451 0.5549 0.2500
La: 0.5549 0.4451 0.7500
La: 0.6555 0.3445 0.2500
Au: 0.0664 0.9336 0.0625
Au: 0.0664 0.9336 0.4375
Au: 0.2772 0.7228 0.2500
Au: 0.7228 0.2772 0.7500
Au: 0.9336 0.0664 0.5625
Au: 0.9336 0.0664 0.9375

Peak list (10 most intense, 2θ from 10° to 90°, in order of rising 2θ)
- 2θ 24.2, rel. 38
- 2θ 24.6, rel. 26
- 2θ 25.4, rel. 27
- 2θ 31.5, rel. 100
- 2θ 33.3, rel. 99
- 2θ 38.7, rel. 32
- 2θ 42.8, rel. 34
- 2θ 43.5, rel. 32
- 2θ 44.0, rel. 25
- 2θ 45.1, rel. 31

4.
Pm3CoSn4: calculated X-ray powder pattern (λ = 1.5418 Å (Cu Kα)), based on DFT lattice parameters and positions (GGA-PBE).
Lines closer than 0.1° are merged.

Atomic structure:
Cell: 10.2283 6.3928 6.3971 Å, 90.00 90.00 90.00°
Fractional positions:
Pm: 0.0000 0.1518 0.0000
Pm: 0.1861 0.6602 0.7782
Pm: 0.3139 0.3398 0.2782
Pm: 0.5000 0.8482 0.5000
Pm: 0.6861 0.3398 0.2782
Pm: 0.8139 0.6602 0.7782
Co: 0.0000 0.6574 0.1293
Co: 0.5000 0.3426 0.6293
Sn: 0.0000 0.4152 0.4533
Sn: 0.0000 0.9660 0.4972
Sn: 0.2262 0.8260 0.2489
Sn: 0.2738 0.1740 0.7489
Sn: 0.5000 0.0340 0.9972
Sn: 0.5000 0.5848 0.9533
Sn: 0.7262 0.1740 0.7489
Sn: 0.7738 0.8260 0.2489

Peak list (10 most intense, 2θ from 10° to 90°, in order of rising 2θ)
- 2θ 29.7, rel. 46
- 2θ 31.3, rel. 59
- 2θ 32.5, rel. 39
- 2θ 32.9, rel. 18
- 2θ 33.0, rel. 100
- 2θ 35.1, rel. 24
- 2θ 36.0, rel. 55
- 2θ 52.6, rel. 18
- 2θ 54.8, rel. 18
- 2θ 55.2, rel. 21